# 1
The following is a computed PXRD pattern of La4ErSe5. It was derived from a cell relaxed with PBE, using Cu Kα X-rays.
Kinematic intensities with the Lorentz-polarization factor, no thermal factor.

Most intense lines, 10° ≤ 2θ ≤ 90°, in order of rising 2θ:
2θ/deg	I/Imax
25.61	21
29.58	46
29.69	89
42.43	100
52.62	35
61.66	11
69.67	15
69.88	29
77.52	11
77.69	21

```
10
Lattice="-4.7571 4.7571 3.0202 4.7571 -4.7571 3.0202 4.7571 4.7571 -3.0202" Properties=species:S:1:pos:R:3 pbc="T T T"
La 6.6259 0.9071 0.0000
La 0.9071 2.8884 0.0000
La 3.8501 1.8688 3.0202
La -1.8688 3.8501 3.0202
Er 0.0000 0.0000 3.0202
Se 0.0000 0.0000 0.0000
Se 3.8165 2.0327 0.0000
Se 2.7245 -0.9407 3.0202
Se 2.0327 5.6978 0.0000
Se 0.9407 2.7245 3.0202
```

# 2
The following is a computed PXRD pattern of La5Er3Se8. It was derived from a cell relaxed with PBE, using Cu Kα X-rays.
Kinematic intensities with the Lorentz-polarization factor, no thermal factor.

Most intense lines, 10° ≤ 2θ ≤ 90°, in order of rising 2θ:
2θ/deg	I/Imax
25.99	13
30.00	100
42.73	37
43.16	37
52.71	6
53.45	19
62.35	12
70.41	16
71.04	16
78.84	12

```
16
Lattice="4.1921 2.4203 6.9459 -4.1921 2.4203 6.9459 0.0000 -4.8406 6.9459" Properties=species:S:1:pos:R:3 pbc="T T T"
La 0.0000 0.0000 0.0000
La -2.0961 -1.2102 6.9459
La -2.0961 1.2102 13.8917
La 0.0000 2.4203 6.9458
La 0.0000 0.0000 10.4188
Er -4.1921 0.0000 10.4188
Er -2.0961 1.2102 3.4729
Er 2.0961 1.2102 3.4729
Se -2.1636 -1.2492 12.0419
Se 0.0000 0.0000 5.0501
Se 0.0000 -2.4983 8.7956
Se -2.1636 1.2492 8.7956
Se 2.1636 -1.2492 12.0419
Se 0.0000 2.4983 12.0419
Se 0.0000 0.0000 15.7874
Se 2.1636 1.2492 8.7956
```

# 3
The following is a computed PXRD pattern of La3TbEr2Se6. It was derived from a cell relaxed with PBE, using Cu Kα X-rays.
Kinematic intensities with the Lorentz-polarization factor, no thermal factor.

Most intense lines, 10° ≤ 2θ ≤ 90°, in order of rising 2θ:
2θ/deg	I/Imax
26.28	13
30.22	100
42.78	37
43.67	12
43.79	24
54.04	13
62.85	12
70.56	11
72.07	11
79.63	8

```
12
Lattice="3.5778 -6.2175 0.0000 3.5778 6.2175 0.0000 -2.3960 0.0000 6.9806" Properties=species:S:1:pos:R:3 pbc="T T T"
La 0.0000 0.0000 0.0000
La 3.5778 2.0508 0.0000
La 3.5778 -2.0508 0.0000
Tb 2.3798 0.0000 3.4903
Er 2.3798 4.1446 3.4903
Er 2.3798 -4.1446 3.4903
Se 1.1779 2.0947 1.8887
Se -0.0342 0.0000 5.0814
Se 1.1779 -2.0947 1.8887
Se 3.5818 2.0947 5.0919
Se 4.7939 0.0000 1.8993
Se 3.5818 -2.0947 5.0919
```

# 4
The following is a computed PXRD pattern of LaErTh2Se4. It was derived from a cell relaxed with PBE, using Cu Kα X-rays.
Kinematic intensities with the Lorentz-polarization factor, no thermal factor.

Most intense lines, 10° ≤ 2θ ≤ 90°, in order of rising 2θ:
2θ/deg	I/Imax
26.21	15
30.17	100
42.56	26
42.76	13
43.57	12
43.82	24
53.92	13
62.69	8
70.27	13
72.09	11

```
8
Lattice="7.1434 0.0000 0.0000 0.0000 4.1547 0.0000 -2.4043 0.0000 7.0155" Properties=species:S:1:pos:R:3 pbc="T T T"
La 0.0000 0.0000 0.0000
Er 3.5717 2.0773 0.0000
Th -1.2021 2.0773 3.5078
Th 2.3696 0.0000 3.5078
Se 1.2614 2.0773 1.7197
Se 0.0540 0.0000 5.3425
Se 4.6852 0.0000 1.6731
Se 3.4778 2.0773 5.2958
```